Diffraction record for Ba3Sn2Bi5. The powder XRD pattern is computed, not measured: it uses a GGA-PBE-relaxed structure and Cu Kα (λ = 1.5418 Å).
No peak broadening, texture or thermal motion is included.

Structural model:
Unit cell a=8.1611 b=18.7684 c=10.9905 alpha=90.00 beta=90.00 gamma=90.00
Space group Ibam (No. 72)
Symmetry-distinct sites (fractional):
Ba1 0.0000 0.0000 0.2500 [4 per cell]
Ba2 0.0960 0.3348 0.0000 [8 per cell]
Sn1 0.0333 0.1368 0.0000 [8 per cell]
Bi1 0.0000 0.2016 0.2500 [8 per cell]
Bi2 0.0000 0.5000 0.2500 [4 per cell]
Bi3 0.2105 0.4781 0.5000 [8 per cell]

Top 10 peaks for 2θ = 5–70°, in order of falling intensity:
- (2 4 2), 33.37 deg, I 100
- (0 0 4), 32.59 deg, I 57
- (2 0 2), 27.22 deg, I 41
- (1 3 0), 17.86 deg, I 39
- (1 5 2), 30.86 deg, I 35
- (0 6 0), 28.54 deg, I 34
- (2 2 0), 23.76 deg, I 29
- (2 0 0), 21.78 deg, I 28
- (3 7 2), 50.60 deg, I 24
- (0 6 4), 43.86 deg, I 22